[1]
Calculated XRD peak list
Compound: AgIr2
Radiation: Cu Kα
Structure: a cell relaxed with GGA-PBE
Kinematic intensities with the Lorentz-polarization factor, no thermal factor.

Most intense lines, 15 to 90 degrees two-theta, sorted by position:
2θ (°)	I/Imax	(hkl)
39.3	100	1 0 3
44.1	16	0 0 6
46.5	32	1 1 0
48.9	4	1 1 2
49.5	8	1 0 5
66.0	19	1 1 6
67.8	10	2 0 0
77.8	10	1 0 9
81.3	24	2 1 3
84.5	10	2 0 6

Structural model:
a b c (Å): 2.7633 2.7633 12.3298
angles (deg): 90.00 90.00 90.00
Space group I4/mmm (No. 139)
Inequivalent atoms, fractional coordinates:
Ag1 0.0000 0.0000 0.0000 [2 per cell]
Ir1 0.0000 0.0000 0.3215 [4 per cell]

---

[2]
Calculated XRD peak list
Compound: Ac3Nd3In2Hg
Radiation: Cu Kα
Structure: a cell relaxed with GGA-PBE
Kinematic intensities with the Lorentz-polarization factor, no thermal factor.

Most intense lines, 15 to 90 degrees two-theta, sorted by position:
2θ (°)	I/Imax	(hkl)
28.7	45	2 1 0
29.3	100	1 1 1
31.3	68	2 0 1
32.7	70	3 0 0
36.7	36	2 1 1
45.7	17	0 0 2
53.8	46	3 2 1
54.9	15	2 1 2
57.3	28	3 0 2
67.7	17	5 1 1

Structural model:
a b c (Å): 9.4908 9.4908 3.9686
angles (deg): 90.00 90.00 120.00
Space group P-62m (No. 189)
Inequivalent atoms, fractional coordinates:
Ac1 0.0000 0.7243 0.0000 [3 per cell]
Nd1 0.0000 0.3961 0.5000 [3 per cell]
In1 0.3333 0.6667 0.0000 [2 per cell]
Hg1 0.0000 0.0000 0.5000 [1 per cell]

---

[3]
Calculated XRD peak list
Compound: Cs2Rb3H5
Radiation: Cu Kα
Structure: a cell relaxed with GGA-PBE
Kinematic intensities with the Lorentz-polarization factor, no thermal factor.

Most intense lines, 15 to 90 degrees two-theta, sorted by position:
2θ (°)	I/Imax	(hkl)
24.3	51	4 0 -1
24.5	51	2 0 -3
25.7	100	1 1 1
28.1	80	3 1 -2
30.8	28	2 0 2
41.8	15	0 2 0
42.1	21	5 1 0
42.2	21	1 1 -4
46.7	15	7 1 -3
49.0	30	2 2 -3

Structural model:
a b c (Å): 15.2370 4.3188 10.9989
angles (deg): 90.00 125.71 90.00
Space group C2/m (No. 12)
Inequivalent atoms, fractional coordinates:
Cs1 0.1771 0.0000 0.2720 [4 per cell]
Rb1 0.0000 0.0000 0.5000 [2 per cell]
Rb2 0.1123 0.5000 0.8770 [4 per cell]
H1 0.0000 0.5000 0.0000 [2 per cell]
H2 0.0946 0.5000 0.4133 [4 per cell]
H3 0.1988 0.0000 0.8090 [4 per cell]

---

[4]
Calculated XRD peak list
Compound: Dy4CdCu2Ru
Radiation: Cu Kα
Structure: a cell relaxed with GGA-PBE
Kinematic intensities with the Lorentz-polarization factor, no thermal factor.

Most intense lines, 15 to 90 degrees two-theta, sorted by position:
2θ (°)	I/Imax	(hkl)
25.3	18	1 0 4
35.9	100	1 1 0
36.1	88	0 1 8
51.9	31	2 0 8
64.6	18	3 0 0
64.7	31	1 2 8
65.1	11	1 0 16
76.1	11	2 2 0
87.3	14	3 1 8
87.6	10	2 1 16

Structural model:
a b c (Å): 5.0004 5.0004 24.3076
angles (deg): 90.00 90.00 120.00
Space group R-3m (No. 166, hexagonal axes)
Inequivalent atoms, fractional coordinates:
Dy1 0.0000 0.0000 0.1164 [6 per cell]
Dy2 0.0000 0.0000 0.3679 [6 per cell]
Cd1 0.0000 0.0000 0.5000 [3 per cell]
Cu1 0.0000 0.0000 0.2439 [6 per cell]
Ru1 0.0000 0.0000 0.0000 [3 per cell]

---

[5]
Calculated XRD peak list
Compound: CaTcAg4
Radiation: Cu Kα
Structure: a cell relaxed with GGA-PBE
Kinematic intensities with the Lorentz-polarization factor, no thermal factor.

Most intense lines, 15 to 90 degrees two-theta, sorted by position:
2θ (°)	I/Imax	(hkl)
19.6	28	1 1 1
32.3	15	2 2 0
38.0	100	3 1 1
39.8	56	2 2 2
46.3	12	4 0 0
50.7	7	3 3 1
61.4	31	3 3 3
67.5	28	4 4 0
80.2	10	5 3 3
81.3	19	6 2 2

Structural model:
a b c (Å): 7.8468 7.8468 7.8468
angles (deg): 90.00 90.00 90.00
Space group F-43m (No. 216)
Inequivalent atoms, fractional coordinates:
Ca1 0.0000 0.0000 0.0000 [4 per cell]
Tc1 0.2500 0.2500 0.7500 [4 per cell]
Ag1 0.1247 0.1247 0.3753 [16 per cell]

---

[6]
Calculated XRD peak list
Compound: Li2Ca2TmIn5
Radiation: Cu Kα
Structure: a cell relaxed with GGA-PBE
Kinematic intensities with the Lorentz-polarization factor, no thermal factor.

Most intense lines, 15 to 90 degrees two-theta, sorted by position:
2θ (°)	I/Imax	(hkl)
17.1	22	2 0 0
19.5	24	0 0 1
27.5	25	2 1 1
31.4	38	2 2 1
33.7	100	3 1 1
35.7	30	4 1 0
37.0	24	3 2 1
38.9	25	4 2 0
39.7	28	0 0 2
67.1	25	7 1 1

Structural model:
a b c (Å): 10.3572 10.3572 4.5448
angles (deg): 90.00 90.00 90.00
Space group P4/mbm (No. 127)
Inequivalent atoms, fractional coordinates:
Li1 0.1172 0.3828 0.0000 [4 per cell]
Ca1 0.1779 0.6779 0.0000 [4 per cell]
Tm1 0.0000 0.0000 0.0000 [2 per cell]
In1 0.0000 0.5000 0.5000 [2 per cell]
In2 0.0653 0.2093 0.5000 [8 per cell]

---

[7]
Calculated XRD peak list
Compound: CaSm5Rh6
Radiation: Cu Kα
Structure: a cell relaxed with GGA-PBE
Kinematic intensities with the Lorentz-polarization factor, no thermal factor.

Most intense lines, 15 to 90 degrees two-theta, sorted by position:
2θ (°)	I/Imax	(hkl)
36.4	100	2 0 -2
36.6	20	0 6 0
52.4	7	4 0 0
52.6	14	2 6 -2
65.5	17	1 3 -3
65.6	7	5 3 -3
65.7	13	1 9 1
77.3	6	4 0 -4
77.4	4	6 6 -2
88.8	6	4 6 -4

Structural model:
a b c (Å): 8.5484 14.7475 4.9343
angles (deg): 90.00 125.14 90.00
Space group C2/m (No. 12)
Inequivalent atoms, fractional coordinates:
Ca1 0.0000 0.0000 0.0000 [2 per cell]
Sm1 0.0000 0.1605 0.5000 [4 per cell]
Sm2 0.0000 0.3309 0.0000 [4 per cell]
Sm3 0.0000 0.5000 0.5000 [2 per cell]
Rh1 0.2382 0.5000 0.2378 [4 per cell]
Rh2 0.2444 0.3301 0.7444 [8 per cell]

---

[8]
Calculated XRD peak list
Compound: CrPtRh
Radiation: Cu Kα
Structure: a cell relaxed with GGA-PBE
Kinematic intensities with the Lorentz-polarization factor, no thermal factor.

Most intense lines, 15 to 90 degrees two-theta, sorted by position:
2θ (°)	I/Imax	(hkl)
26.3	44	0 1 1
35.0	21	1 0 1
40.7	100	0 1 3
41.3	97	1 1 0
47.1	77	1 0 3
49.0	30	0 2 0
61.6	22	1 1 4
70.3	39	1 2 3
82.6	24	1 1 6
83.9	24	2 1 3

Structural model:
a b c (Å): 2.6983 3.7195 8.2937
angles (deg): 90.00 90.00 90.00
Space group Imm2 (No. 44)
Inequivalent atoms, fractional coordinates:
Cr1 0.0000 0.0000 0.0000 [2 per cell]
Pt1 0.0000 0.0000 0.6696 [2 per cell]
Rh1 0.0000 0.0000 0.3506 [2 per cell]